No. 1
The following is a theoretical PXRD pattern of Cd3CuSe4. It was derived from DFT lattice parameters and positions (PBE), using Cu Kα, 1.54184 Å.
Peak positions follow from Bragg's law for the DFT cell and can differ from measured ones.

Top 10 peaks for 10° ≤ 2θ ≤ 90°, by angle:
25.6°, intensity 100; 29.6°, intensity 2; 33.2°, intensity 3; 36.5°, intensity 3; 42.4°, intensity 73; 50.2°, intensity 44; 61.5°, intensity 11; 67.8°, intensity 17; 77.6°, intensity 22; 83.3°, intensity 12

Structural model:
abc: 6.0279 6.0279 6.0279
angles: 90.00 90.00 90.00
Sites, in units of the cell vectors:
Cd (0.0000, 0.0000, 0.5000)
Cd (0.0000, 0.5000, 0.0000)
Cd (0.5000, 0.0000, 0.0000)
Cu (0.5000, 0.5000, 0.5000)
Se (0.2670, 0.2670, 0.7330)
Se (0.2670, 0.7330, 0.2670)
Se (0.7330, 0.2670, 0.2670)
Se (0.7330, 0.7330, 0.7330)

No. 2
The following is a theoretical PXRD pattern of CdCu2Si. It was derived from DFT lattice parameters and positions (PBE), using Cu Kα, 1.54184 Å.
Peak positions follow from Bragg's law for the DFT cell and can differ from measured ones.

Top 10 peaks for 10° ≤ 2θ ≤ 90°, by angle:
21.8°, intensity 11; 25.7°, intensity 15; 40.0°, intensity 100; 44.5°, intensity 18; 47.5°, intensity 30; 67.2°, intensity 20; 69.5°, intensity 9; 79.0°, intensity 12; 83.3°, intensity 21; 86.4°, intensity 10

Structural model:
abc: 4.8868 4.8868 4.8868
angles: 133.90 133.90 67.24
Sites, in units of the cell vectors:
Cd (0.0000, 0.0000, 0.0000)
Cu (0.2500, 0.7500, 0.5000)
Cu (0.5000, 0.5000, 0.0000)
Si (0.7500, 0.2500, 0.5000)

No. 3
The following is a theoretical PXRD pattern of Sm2Cd3Cu. It was derived from DFT lattice parameters and positions (PBE), using Cu Kα, 1.54184 Å.
Peak positions follow from Bragg's law for the DFT cell and can differ from measured ones.

Top 10 peaks for 10° ≤ 2θ ≤ 90°, by angle:
33.4°, intensity 100; 36.7°, intensity 75; 50.5°, intensity 29; 53.0°, intensity 9; 63.9°, intensity 17; 64.0°, intensity 10; 66.1°, intensity 8; 66.2°, intensity 25; 87.6°, intensity 8; 89.6°, intensity 8

Structural model:
abc: 3.4537 4.8962 8.5017
angles: 90.00 90.00 90.00
Sites, in units of the cell vectors:
Sm (0.0000, 0.0000, 0.0000)
Sm (0.0000, 0.5000, 0.4647)
Cd (0.5000, 0.0000, 0.6361)
Cd (0.5000, 0.5000, 0.1517)
Cd (0.5000, 0.5000, 0.8111)
Cu (0.5000, 0.0000, 0.3112)

No. 4
The following is a theoretical PXRD pattern of SmCdCu2. It was derived from DFT lattice parameters and positions (PBE), using Cu Kα, 1.54184 Å.
Peak positions follow from Bragg's law for the DFT cell and can differ from measured ones.

Top 10 peaks for 10° ≤ 2θ ≤ 90°, by angle:
34.6°, intensity 100; 35.6°, intensity 29; 35.8°, intensity 66; 40.2°, intensity 39; 41.1°, intensity 15; 46.3°, intensity 12; 54.8°, intensity 16; 62.6°, intensity 13; 69.5°, intensity 13; 70.2°, intensity 17

Structural model:
abc: 6.2896 4.4890 11.0063
angles: 90.00 90.00 90.00
Sites, in units of the cell vectors:
Sm (0.2248, 0.2500, 0.1653)
Sm (0.2752, 0.7500, 0.6653)
Sm (0.7248, 0.2500, 0.3347)
Sm (0.7752, 0.7500, 0.8347)
Cd (0.1984, 0.2500, 0.4591)
Cd (0.3016, 0.7500, 0.9591)
Cd (0.6984, 0.2500, 0.0409)
Cd (0.8016, 0.7500, 0.5409)
Cu (0.0550, 0.7500, 0.3299)
Cu (0.0649, 0.2500, 0.8885)
Cu (0.4351, 0.7500, 0.3885)
Cu (0.4450, 0.2500, 0.8299)
Cu (0.5550, 0.7500, 0.1701)
Cu (0.5649, 0.2500, 0.6115)
Cu (0.9351, 0.7500, 0.1115)
Cu (0.9450, 0.2500, 0.6701)

No. 5
The following is a theoretical PXRD pattern of Sm5CdCu2. It was derived from DFT lattice parameters and positions (PBE), using Cu Kα, 1.54184 Å.
Peak positions follow from Bragg's law for the DFT cell and can differ from measured ones.

Top 10 peaks for 10° ≤ 2θ ≤ 90°, by angle:
25.5°, intensity 24; 31.2°, intensity 13; 31.6°, intensity 27; 32.2°, intensity 100; 34.9°, intensity 67; 35.4°, intensity 32; 55.6°, intensity 18; 55.7°, intensity 20; 65.5°, intensity 17; 68.3°, intensity 12

Structural model:
abc: 8.6718 8.6718 8.6718
angles: 124.16 124.16 82.93
Sites, in units of the cell vectors:
Sm (0.0000, 0.0000, 0.0000)
Sm (0.0130, 0.5130, 0.8110)
Sm (0.2021, 0.0130, 0.5000)
Sm (0.2979, 0.7979, 0.8110)
Sm (0.4870, 0.2979, 0.5000)
Sm (0.5000, 0.5000, 0.0000)
Sm (0.5130, 0.7021, 0.5000)
Sm (0.7021, 0.2021, 0.1890)
Sm (0.7979, 0.9870, 0.5000)
Sm (0.9870, 0.4870, 0.1890)
Cd (0.2500, 0.2500, 0.0000)
Cd (0.7500, 0.7500, 0.0000)
Cu (0.1272, 0.3728, 0.5000)
Cu (0.3728, 0.8728, 0.2457)
Cu (0.6272, 0.1272, 0.7543)
Cu (0.8728, 0.6272, 0.5000)

No. 6
The following is a theoretical PXRD pattern of CdCuSn4. It was derived from DFT lattice parameters and positions (PBE), using Cu Kα, 1.54184 Å.
Peak positions follow from Bragg's law for the DFT cell and can differ from measured ones.

Top 10 peaks for 10° ≤ 2θ ≤ 90°, by angle:
31.0°, intensity 49; 31.3°, intensity 67; 31.9°, intensity 95; 33.0°, intensity 49; 34.3°, intensity 100; 35.5°, intensity 32; 36.5°, intensity 34; 37.5°, intensity 44; 37.7°, intensity 34; 56.5°, intensity 38

Structural model:
abc: 7.6211 7.6211 5.8815
angles: 101.21 101.21 109.77
Sites, in units of the cell vectors:
Cd (0.1212, 0.8788, 0.7500)
Cd (0.8788, 0.1212, 0.2500)
Cu (0.4845, 0.5155, 0.7500)
Cu (0.5155, 0.4845, 0.2500)
Sn (0.1516, 0.3079, 0.8664)
Sn (0.2086, 0.5578, 0.4123)
Sn (0.3079, 0.1516, 0.3664)
Sn (0.4422, 0.7914, 0.0877)
Sn (0.5578, 0.2086, 0.9123)
Sn (0.6921, 0.8484, 0.6336)
Sn (0.7914, 0.4422, 0.5877)
Sn (0.8484, 0.6921, 0.1336)